# Zr3NbC4
Calculated PXRD pattern, Cu Kα, 1.54184 Å. Input: a structure optimized by DFT (GGA-PBE).

Largest 6 diffraction maxima, by angle, 10 to 90 degrees two-theta:
33.25 deg, rel. 1000
38.58 deg, rel. 776
55.71 deg, rel. 500
66.44 deg, rel. 407
69.81 deg, rel. 163
82.72 deg, rel. 76

Cell and atoms:
Cell lengths 3.2989, 3.2989, 32.3538 Å; angles 90.00, 90.00, 120.00 degrees
Space group R-3m (No. 166, hexagonal axes)
Asymmetric unit:
Zr1 0.0000 0.0000 0.0000 x3
Zr2 0.0000 0.0000 0.2488 x6
Nb1 0.0000 0.0000 0.5000 x3
C1 0.0000 0.0000 0.1277 x6
C2 0.0000 0.0000 0.3759 x6


# ZrNbC2
Calculated PXRD pattern, Cu Kα, 1.54184 Å. Input: a structure optimized by DFT (GGA-PBE).

Largest 10 diffraction maxima, by angle, 10 to 90 degrees two-theta:
33.60 deg, rel. 328
33.74 deg, rel. 970
39.12 deg, rel. 1000
56.42 deg, rel. 323
56.61 deg, rel. 320
67.29 deg, rel. 133
67.49 deg, rel. 393
70.63 deg, rel. 53
70.96 deg, rel. 157
84.07 deg, rel. 99

Cell and atoms:
Cell lengths 3.2516, 3.2516, 16.0036 Å; angles 90.00, 90.00, 120.00 degrees
Space group R-3m (No. 166, hexagonal axes)
Asymmetric unit:
Zr1 0.0000 0.0000 0.0000 x3
Nb1 0.0000 0.0000 0.5000 x3
C1 0.0000 0.0000 0.2462 x6


# Nd2C3
Calculated PXRD pattern, Cu Kα, 1.54184 Å. Input: a structure optimized by DFT (GGA-PBE).

Largest 10 diffraction maxima, by angle, 10 to 90 degrees two-theta:
25.32 deg, rel. 462
29.32 deg, rel. 923
32.87 deg, rel. 1000
39.12 deg, rel. 523
49.62 deg, rel. 270
54.28 deg, rel. 656
58.69 deg, rel. 271
70.87 deg, rel. 193
82.21 deg, rel. 195
84.06 deg, rel. 161

Cell and atoms:
Cell lengths 8.6168, 8.6168, 8.6168 Å; angles 90.00, 90.00, 90.00 degrees
Space group I-43d (No. 220)
Asymmetric unit:
Nd1 0.0517 0.4483 0.5517 x16
C1 0.0000 0.2500 0.7978 x24


# NdC2
Calculated PXRD pattern, Cu Kα, 1.54184 Å. Input: a structure optimized by DFT (GGA-PBE).

Largest 10 diffraction maxima, by angle, 10 to 90 degrees two-theta:
26.99 deg, rel. 1000
27.57 deg, rel. 346
32.97 deg, rel. 523
43.50 deg, rel. 397
47.31 deg, rel. 183
48.40 deg, rel. 291
55.32 deg, rel. 297
55.64 deg, rel. 191
70.01 deg, rel. 190
85.34 deg, rel. 113

Cell and atoms:
Cell lengths 3.8424, 3.8424, 6.4697 Å; angles 90.00, 90.00, 90.00 degrees
Space group I4/mmm (No. 139)
Asymmetric unit:
Nd1 0.0000 0.0000 0.0000 x2
C1 0.0000 0.0000 0.3997 x4


# NdNiC2
Calculated PXRD pattern, Cu Kα, 1.54184 Å. Input: a structure optimized by DFT (GGA-PBE).

Largest 10 diffraction maxima, by angle, 10 to 90 degrees two-theta:
24.41 deg, rel. 258
29.26 deg, rel. 194
33.90 deg, rel. 1000
37.64 deg, rel. 238
39.63 deg, rel. 167
47.34 deg, rel. 125
49.05 deg, rel. 169
50.02 deg, rel. 122
55.81 deg, rel. 128
68.26 deg, rel. 122

Cell and atoms:
Cell lengths 3.8403, 4.5480, 6.1044 Å; angles 90.00, 90.00, 90.00 degrees
Space group Amm2 (No. 38)
Asymmetric unit:
Nd1 0.0000 0.0000 0.0000 x2
Ni1 0.5000 0.0000 0.3870 x2
C1 0.5000 0.1501 0.6986 x4


# NdCO4
Calculated PXRD pattern, Cu Kα, 1.54184 Å. Input: a structure optimized by DFT (GGA-PBE).

Largest 10 diffraction maxima, by angle, 10 to 90 degrees two-theta:
15.97 deg, rel. 418
20.67 deg, rel. 1000
21.02 deg, rel. 313
23.98 deg, rel. 522
24.26 deg, rel. 474
26.42 deg, rel. 477
30.20 deg, rel. 856
38.68 deg, rel. 484
43.90 deg, rel. 451
45.21 deg, rel. 455

Cell and atoms:
Cell lengths 7.3572, 4.9897, 8.4541 Å; angles 90.00, 90.00, 90.00 degrees
Space group Pnma (No. 62)
Asymmetric unit:
Nd1 0.1455 0.2500 0.1665 x4
C1 0.1968 0.2500 0.8203 x4
O1 0.0369 0.7500 0.6001 x4
O2 0.1511 0.0248 0.8861 x8
O3 0.2052 0.7500 0.1944 x4


# NdCO4
Calculated PXRD pattern, Cu Kα, 1.54184 Å. Input: a structure optimized by DFT (GGA-PBE).

Largest 10 diffraction maxima, by angle, 10 to 90 degrees two-theta:
15.92 deg, rel. 461
20.18 deg, rel. 1000
21.49 deg, rel. 820
24.40 deg, rel. 695
27.36 deg, rel. 378
31.18 deg, rel. 631
33.16 deg, rel. 378
33.51 deg, rel. 465
43.40 deg, rel. 620
49.02 deg, rel. 408

Cell and atoms:
Cell lengths 6.5206, 4.8281, 10.6973 Å; angles 90.00, 90.00, 90.00 degrees
Space group Pnma (No. 62)
Asymmetric unit:
Nd1 0.1808 0.2500 0.1063 x4
C1 0.2269 0.2500 0.3929 x4
O1 0.0487 0.2500 0.3391 x4
O2 0.1747 0.5208 0.9123 x8
O3 0.2348 0.7500 0.1380 x4